No. 1
Theoretical X-ray diffraction stick pattern of La2NdCo2C2N3 for Cu Kα (λ = 1.5418 Å), from a PBE-relaxed structure.
Lines closer than 0.1° are merged.

Structural model:
```
La2NdCo2C2N3
1.0
-1.8136 1.8136 9.9726
1.8136 -1.8136 9.9726
1.8136 1.8136 -9.9726
La Nd Co C N
2 1 2 2 3
Direct
0.1301 0.1301 0.0000
0.8699 0.8699 0.0000
0.5000 0.5000 0.0000
0.2500 0.7500 0.5000
0.7500 0.2500 0.5000
0.3037 0.3037 0.0000
0.6963 0.6963 0.0000
0.0000 0.0000 0.0000
0.3739 0.3739 0.0000
0.6261 0.6261 0.0000
```

Top 10 peaks for 2θ = 10–90°, in order of falling intensity:
two_theta  intensity
28.0  100
33.4  61
36.0  44
35.0  39
50.3  39
44.6  36
36.2  35
58.6  34
63.4  32
39.5  30

***

No. 2
Theoretical X-ray diffraction stick pattern of LaYCo2Sn2C for Cu Kα (λ = 1.5418 Å), from a PBE-relaxed structure.
Lines closer than 0.1° are merged.

Structural model:
```
LaYCo2Sn2C
1.0
5.6934 -2.1118 0.0000
5.6934 2.1118 0.0000
-4.5427 0.0000 5.7762
La Y Co Sn C
1 1 2 2 1
Direct
0.0000 0.0000 0.0000
0.8950 0.8950 0.3488
0.2696 0.2696 0.9091
0.6213 0.6213 0.4418
0.2777 0.2777 0.5571
0.6150 0.6150 0.7877
0.4422 0.4422 0.1808
```

Top 10 peaks for 2θ = 10–90°, in order of falling intensity:
two_theta  intensity
36.9  100
32.0  84
33.6  66
31.8  60
34.1  56
37.8  52
42.8  52
59.2  38
54.5  38
31.3  33